# 1
Simulated powder diffractogram of KRb2P2Pd3 for Cu Kα X-rays, from the PBE geometry in OQMD.
Kinematic intensities with the Lorentz-polarization factor, no thermal factor.

Structural model:
```
8
Lattice="2.9446 1.7001 6.9450 -2.9446 1.7001 6.9450 0.0000 -3.4002 6.9450" Properties=species:S:1:pos:R:3 pbc="T T T"
K 0.0000 0.0000 0.0000
Rb 0.0000 0.0000 8.5448
Rb 0.0000 0.0000 12.2903
P 0.0000 0.0000 5.1026
P 0.0000 0.0000 15.7324
Pd -2.9446 0.0000 10.4175
Pd -1.4723 0.8500 3.4725
Pd 1.4723 0.8500 3.4725
```

The 8 most intense peaks (2θ from 5° to 70°), by angle:
6.945 Å, 12.75 deg, I = 1000
3.227 Å, 27.64 deg, I = 711
2.571 Å, 34.90 deg, I = 234
2.531 Å, 35.46 deg, I = 636
2.477 Å, 36.27 deg, I = 465
2.290 Å, 39.34 deg, I = 256
2.246 Å, 40.15 deg, I = 424
1.750 Å, 52.29 deg, I = 228

***

# 2
Simulated powder diffractogram of Nb2Ni3Pd3 for Cu Kα X-rays, from the PBE geometry in OQMD.
Kinematic intensities with the Lorentz-polarization factor, no thermal factor.

Structural model:
```
8
Lattice="2.3351 1.3482 6.2763 -2.3351 1.3482 6.2763 0.0000 -2.6964 6.2763" Properties=species:S:1:pos:R:3 pbc="T T T"
Nb 0.0000 0.0000 4.0757
Nb 0.0000 0.0000 14.7532
Ni -1.1676 -0.6741 6.2763
Ni -1.1676 0.6741 12.5526
Ni 0.0000 1.3482 6.2763
Pd 0.0000 0.0000 1.4403
Pd 0.0000 0.0000 9.4144
Pd 0.0000 0.0000 17.3886
```

The 8 most intense peaks (2θ from 5° to 70°), by angle:
2.756 Å, 32.49 deg, I = 155
2.335 Å, 38.55 deg, I = 696
2.240 Å, 40.27 deg, I = 1000
2.189 Å, 41.25 deg, I = 377
2.011 Å, 45.09 deg, I = 220
1.977 Å, 45.90 deg, I = 132
1.873 Å, 48.60 deg, I = 174
1.858 Å, 49.03 deg, I = 212

***

# 3
Simulated powder diffractogram of Li2Mg2GaSiPt2 for Cu Kα X-rays, from the PBE geometry in OQMD.
Kinematic intensities with the Lorentz-polarization factor, no thermal factor.

Structural model:
```
8
Lattice="4.3665 0.0000 0.0000 0.0000 4.3665 0.0000 0.0000 0.0000 6.1750" Properties=species:S:1:pos:R:3 pbc="T T T"
Li 0.0000 2.1833 1.5153
Li 2.1833 0.0000 4.6598
Mg 0.0000 0.0000 0.0000
Mg 2.1833 2.1833 3.0875
Ga 0.0000 0.0000 3.0875
Si 2.1833 2.1833 0.0000
Pt 0.0000 2.1833 4.7049
Pt 2.1833 0.0000 1.4702
```

The 8 most intense peaks (2θ from 5° to 70°), by angle:
3.565 Å, 24.98 deg, I = 1000
3.088 Å, 28.92 deg, I = 206
2.183 Å, 41.35 deg, I = 844
1.862 Å, 48.92 deg, I = 493
1.783 Å, 51.25 deg, I = 59
1.544 Å, 59.92 deg, I = 140
1.417 Å, 65.94 deg, I = 201
1.381 Å, 67.88 deg, I = 77

***

# 4
Simulated powder diffractogram of Dy3Er4Ni2Se2 for Cu Kα X-rays, from the PBE geometry in OQMD.
Kinematic intensities with the Lorentz-polarization factor, no thermal factor.

Structural model:
```
11
Lattice="-1.8915 7.5139 4.6369 1.8915 -7.5139 4.6369 1.8915 7.5139 -4.6369" Properties=species:S:1:pos:R:3 pbc="T T T"
Dy 0.0000 0.0000 0.0000
Dy 1.8915 -2.1227 2.2333
Dy 1.8915 2.1227 2.2333
Er 1.8915 2.7444 -1.0953
Er 1.8915 5.6231 0.8024
Er 0.0000 4.7695 3.5416
Er 0.0000 1.8909 5.4393
Ni 0.0000 3.5889 0.6956
Ni 0.0000 11.4390 0.6956
Se 0.0000 0.0000 3.1621
Se 0.0000 7.5139 2.2272
```

The 8 most intense peaks (2θ from 5° to 70°), by angle:
3.023 Å, 29.55 deg, I = 495
2.877 Å, 31.09 deg, I = 599
2.859 Å, 31.28 deg, I = 302
2.631 Å, 34.08 deg, I = 676
2.562 Å, 35.02 deg, I = 1000
2.530 Å, 35.48 deg, I = 512
1.892 Å, 48.10 deg, I = 287
1.536 Å, 60.26 deg, I = 264

***

# 5
Simulated powder diffractogram of Ta16Al13 for Cu Kα X-rays, from the PBE geometry in OQMD.
Kinematic intensities with the Lorentz-polarization factor, no thermal factor.

Structural model:
```
29
Lattice="-4.9864 4.9864 4.9864 4.9864 -4.9864 4.9864 4.9864 4.9864 -4.9864" Properties=species:S:1:pos:R:3 pbc="T T T"
Ta 3.2419 3.2419 -3.2419
Ta 5.4322 1.3689 -1.3689
Ta 3.2419 -3.2419 3.2419
Ta 5.4322 -1.3689 1.3689
Ta 4.5407 1.3689 1.3689
Ta 3.6176 3.6176 -0.4457
Ta 3.6176 -0.4457 3.6176
Ta 1.7446 1.7446 1.7446
Ta 1.3689 5.4322 -1.3689
Ta 1.3689 -1.3689 5.4322
Ta 1.3689 4.5407 1.3689
Ta 1.3689 1.3689 4.5407
Ta -3.2419 3.2419 3.2419
Ta -1.3689 5.4322 1.3689
Ta -1.3689 1.3689 5.4322
Ta -0.4457 3.6176 3.6176
Al 0.0000 0.0000 0.0000
Al 2.7937 0.9177 -0.9177
Al 2.7937 -0.9177 0.9177
Al 7.1791 0.9177 0.9177
Al 0.9177 2.7937 -0.9177
Al 0.9177 -0.9177 2.7937
Al -0.9177 2.7937 0.9177
Al -0.9177 0.9177 2.7937
Al 4.0687 4.0687 2.1927
Al 4.0687 2.1927 4.0687
Al 0.9177 7.1791 0.9177
Al 0.9177 0.9177 7.1791
Al 2.1927 4.0687 4.0687
```

The 8 most intense peaks (2θ from 5° to 70°), by angle:
7.052 Å, 12.55 deg, I = 223
4.071 Å, 21.83 deg, I = 241
2.493 Å, 36.02 deg, I = 116
2.351 Å, 38.29 deg, I = 1000
2.036 Å, 44.51 deg, I = 116
1.662 Å, 55.27 deg, I = 95
1.539 Å, 60.13 deg, I = 78
1.357 Å, 69.23 deg, I = 255

***

# 6
Simulated powder diffractogram of Zr4P3W2N3 for Cu Kα X-rays, from the PBE geometry in OQMD.
Kinematic intensities with the Lorentz-polarization factor, no thermal factor.

Structural model:
```
24
Lattice="5.0030 -2.8971 0.0000 5.0030 2.8971 0.0000 -3.2602 0.0000 11.7642" Properties=species:S:1:pos:R:3 pbc="T T T"
Zr 0.8413 0.5341 1.2214
Zr 0.9069 0.4433 4.6601
Zr -0.7888 -0.5341 7.1035
Zr -0.7231 -0.4433 10.5422
Zr 7.4690 0.4433 1.2220
Zr 7.5347 0.5341 4.6607
Zr 5.8390 -0.4433 7.1042
Zr 5.9046 -0.5341 10.5429
P 4.1880 2.2044 2.9411
P 1.0671 0.3956 8.8085
P 2.6972 -0.3956 2.9264
P 4.0487 0.3956 8.8379
P 5.6788 -0.3956 2.9557
P 2.5579 -2.2044 8.8232
W 4.2452 0.4347 1.0710
W 4.1308 0.4347 4.8111
W 2.6151 -0.4347 6.9531
W 2.5007 -0.4347 10.6932
N 2.5015 1.4486 0.0000
N 2.4981 1.5073 5.8806
N 5.8779 1.5073 0.0015
N 0.8714 -1.4486 5.8821
N 0.8680 -1.5073 11.7627
N 4.2478 -1.5073 5.8836
```

The 8 most intense peaks (2θ from 5° to 70°), by angle:
5.882 Å, 15.06 deg, I = 212
4.967 Å, 17.86 deg, I = 212
2.941 Å, 30.39 deg, I = 187
2.893 Å, 30.91 deg, I = 416
2.812 Å, 31.83 deg, I = 327
2.332 Å, 38.61 deg, I = 1000
2.321 Å, 38.80 deg, I = 510
1.671 Å, 54.93 deg, I = 294

***

# 7
Simulated powder diffractogram of BaAl2GaPd2 for Cu Kα X-rays, from the PBE geometry in OQMD.
Kinematic intensities with the Lorentz-polarization factor, no thermal factor.

Structural model:
```
12
Lattice="5.4921 -4.0393 0.0000 5.4921 4.0393 0.0000 0.0000 0.0000 5.5897" Properties=species:S:1:pos:R:3 pbc="T T T"
Ba 5.4921 2.7863 4.1922
Ba 5.4921 -2.7863 1.3974
Al 3.2943 2.2220 1.3974
Al 7.6899 2.2220 1.3974
Al 3.2943 -2.2220 4.1922
Al 7.6899 -2.2220 4.1922
Ga 5.4921 0.6860 1.3974
Ga 5.4921 -0.6860 4.1922
Pd 3.3046 0.0000 0.0000
Pd 3.3046 0.0000 2.7948
Pd 7.6796 0.0000 0.0000
Pd 7.6796 0.0000 2.7948
```

The 8 most intense peaks (2θ from 5° to 70°), by angle:
3.335 Å, 26.73 deg, I = 646
3.274 Å, 27.24 deg, I = 537
2.812 Å, 31.82 deg, I = 1000
2.746 Å, 32.61 deg, I = 473
2.491 Å, 36.06 deg, I = 997
2.298 Å, 39.20 deg, I = 554
2.120 Å, 42.65 deg, I = 667
1.896 Å, 48.00 deg, I = 460

***

# 8
Simulated powder diffractogram of LiCu11 for Cu Kα X-rays, from the PBE geometry in OQMD.
Kinematic intensities with the Lorentz-polarization factor, no thermal factor.

Structural model:
```
12
Lattice="4.2321 -3.8248 0.0000 4.2321 3.8248 0.0000 -0.7556 0.0000 4.3694" Properties=species:S:1:pos:R:3 pbc="T T T"
Li 0.0000 0.0000 0.0000
Cu 1.9452 1.2862 1.0898
Cu 3.8543 2.5501 2.1847
Cu 1.5555 0.0000 3.2557
Cu 4.2321 1.2655 0.0000
Cu 1.9452 -1.2862 1.0898
Cu 3.8543 0.0000 2.1847
Cu 5.7633 1.2862 3.2797
Cu 4.2321 -1.2655 0.0000
Cu 6.1530 0.0000 1.1137
Cu 3.8543 -2.5501 2.1847
Cu 5.7633 -1.2862 3.2797
```

The 8 most intense peaks (2θ from 5° to 70°), by angle:
5.637 Å, 15.72 deg, I = 50
4.369 Å, 20.32 deg, I = 14
4.170 Å, 21.31 deg, I = 11
3.664 Å, 24.29 deg, I = 18
3.276 Å, 27.22 deg, I = 12
2.086 Å, 43.38 deg, I = 1000
1.812 Å, 50.35 deg, I = 157
1.803 Å, 50.62 deg, I = 309